Simulated powder diffraction line list of TcXeO4F5 for Cu Kα, from a DFT-relaxed cell (GGA-PBE, the Materials Project).

Atomic structure:
Cell lengths 9.430, 9.430, 5.400 Å; angles 90.00, 90.00, 127.53 degrees
Sites, in units of the cell vectors:
Tc 0.095 0.905 0.500
Tc 0.905 0.095 0.000
Xe 0.377 0.623 0.661
Xe 0.623 0.377 0.161
O 0.140 0.860 0.778
O 0.146 0.491 0.537
O 0.172 0.828 0.303
O 0.491 0.146 0.037
O 0.509 0.854 0.537
O 0.828 0.172 0.803
O 0.854 0.509 0.037
O 0.860 0.140 0.278
F 0.017 0.983 0.190
F 0.149 0.290 0.983
F 0.290 0.149 0.483
F 0.310 0.690 0.976
F 0.461 0.539 0.376
F 0.539 0.461 0.876
F 0.690 0.310 0.476
F 0.710 0.851 0.983
F 0.851 0.710 0.483
F 0.983 0.017 0.690

Principal peaks in the range 10 to 80 degrees two-theta, in order of falling intensity:
25.21°, I = 100
20.28°, I = 86
21.32°, I = 79
21.01°, I = 53
19.50°, I = 40
30.10°, I = 29
44.27°, I = 29
39.82°, I = 27